Record 1
Sm3Fe2B2C3: computed XRD peak list (Cu Kα X-rays), based on a DFT-relaxed cell (PBE, OQMD).
Peak positions follow from Bragg's law for the DFT cell and can differ from measured ones.

Principal peaks in the range 15° ≤ 2θ ≤ 90°, sorted by position:
2theta	I_rel
27.53	100
32.36	88
33.74	52
34.82	40
35.86	39
38.84	31
50.06	37
61.74	35

Structural model:
Cell: 10.9335 10.9335 10.9335 Å, 160.81 160.81 27.26°
Fractional coordinates of all 10 atoms:
1 Sm 0.0000 0.0000 0.0000
2 Sm 0.3768 0.3768 0.0000
3 Sm 0.6232 0.6232 0.0000
4 Fe 0.2500 0.7500 0.5000
5 Fe 0.7500 0.2500 0.5000
6 B 0.1917 0.1917 0.0000
7 B 0.8083 0.8083 0.0000
8 C 0.1215 0.1215 0.0000
9 C 0.5000 0.5000 0.0000
10 C 0.8785 0.8785 0.0000



Record 2
Y2NiWN6: computed XRD peak list (Cu Kα X-rays), based on a DFT-relaxed cell (PBE, OQMD).
Peak positions follow from Bragg's law for the DFT cell and can differ from measured ones.

Principal peaks in the range 15° ≤ 2θ ≤ 90°, sorted by position:
2theta	I_rel
30.54	82
31.99	36
33.03	100
36.16	28
41.95	23
45.47	21
53.71	24
54.52	25

Structural model:
Cell: 5.8277 5.8277 5.6459 Å, 111.68 111.68 43.38°
Fractional coordinates of all 10 atoms:
1 Y 0.2388 0.2388 0.2339
2 Y 0.7612 0.7612 0.7661
3 Ni 0.5000 0.5000 0.0000
4 W 0.0000 0.0000 0.5000
5 N 0.1729 0.1729 0.8004
6 N 0.2549 0.5827 0.6646
7 N 0.4173 0.7451 0.3354
8 N 0.5827 0.2549 0.6646
9 N 0.7451 0.4173 0.3354
10 N 0.8271 0.8271 0.1996



Record 3
Cs3KTc2O6: computed XRD peak list (Cu Kα X-rays), based on a DFT-relaxed cell (PBE, OQMD).
Peak positions follow from Bragg's law for the DFT cell and can differ from measured ones.

Principal peaks in the range 15° ≤ 2θ ≤ 90°, sorted by position:
2theta	I_rel
23.11	21
26.76	100
27.87	78
39.02	39
47.25	30
47.95	30
55.13	43
75.50	23

Structural model:
Cell: 6.6624 6.6624 7.6962 Å, 90.00 90.00 120.00°
Fractional coordinates of all 12 atoms:
1 Cs 0.0000 0.0000 0.0000
2 Cs 0.3333 0.6667 0.7419
3 Cs 0.6667 0.3333 0.2581
4 K 0.0000 0.0000 0.5000
5 Tc 0.3333 0.6667 0.2604
6 Tc 0.6667 0.3333 0.7396
7 O 0.1545 0.3595 0.2719
8 O 0.2050 0.8455 0.2719
9 O 0.3595 0.1545 0.7281
10 O 0.6405 0.7950 0.2719
11 O 0.7950 0.6405 0.7281
12 O 0.8455 0.2050 0.7281



Record 4
NaAgSnO3: computed XRD peak list (Cu Kα X-rays), based on a DFT-relaxed cell (PBE, OQMD).
Peak positions follow from Bragg's law for the DFT cell and can differ from measured ones.

Principal peaks in the range 15° ≤ 2θ ≤ 90°, sorted by position:
2theta	I_rel
30.02	43
31.30	100
31.59	87
35.40	54
36.00	31
42.37	32
47.64	51
61.92	43

Structural model:
Cell: 12.1013 3.2053 8.8214 Å, 90.00 90.00 90.00°
Fractional coordinates of all 24 atoms:
1 Na 0.2149 0.2500 0.1381
2 Na 0.2851 0.7500 0.6381
3 Na 0.7149 0.2500 0.3619
4 Na 0.7851 0.7500 0.8619
5 Ag 0.1005 0.2500 0.4811
6 Ag 0.3995 0.7500 0.9811
7 Ag 0.6005 0.2500 0.0189
8 Ag 0.8995 0.7500 0.5189
9 Sn 0.0381 0.2500 0.8424
10 Sn 0.4619 0.7500 0.3424
11 Sn 0.5381 0.2500 0.6576
12 Sn 0.9619 0.7500 0.1576
13 O 0.0489 0.2500 0.2542
14 O 0.0946 0.7500 0.9876
15 O 0.1657 0.2500 0.7006
16 O 0.3343 0.7500 0.2006
17 O 0.4054 0.2500 0.4876
18 O 0.4511 0.7500 0.7542
19 O 0.5489 0.2500 0.2458
20 O 0.5946 0.7500 0.5124
21 O 0.6657 0.2500 0.7994
22 O 0.8343 0.7500 0.2994
23 O 0.9054 0.2500 0.0124
24 O 0.9511 0.7500 0.7458